Tm5Ni2Rh: simulated powder diffraction line list (copper Kα), based on the PBE geometry in Alexandria.

Top 10 peaks for 10° ≤ 2θ ≤ 90°, sorted by position:
2theta, intensity, hkl
29.18, 23, 2 1 1
30.94, 25, 1 1 4
34.29, 100, 2 1 3
35.97, 56, 2 0 4
36.26, 17, 2 2 0
37.92, 14, 0 0 6
40.72, 45, 3 1 0
53.73, 15, 2 1 7
57.61, 20, 4 1 3
61.94, 20, 3 3 4

```
data_Tm5Ni2Rh
_cell_length_a 7.0074
_cell_length_b 7.0074
_cell_length_c 14.2353
_cell_angle_alpha 90.00
_cell_angle_beta 90.00
_cell_angle_gamma 90.00
_space_group_name_H-M_alt 'I 4/m c m'
_space_group_IT_number 140
_space_group_name_Hall '-I 4 2c'
loop_
_atom_site_label
_atom_site_type_symbol
_atom_site_fract_x
_atom_site_fract_y
_atom_site_fract_z
Tm1 Tm 0.0000 0.0000 0.0000
Tm2 Tm 0.1726 0.3274 0.1450
Ni1 Ni 0.1228 0.3772 0.5000
Rh1 Rh 0.0000 0.0000 0.2500
```